Diffraction record for CaFeF5. The powder diffractogram is calculated, not measured: it uses the PBE+U geometry in the Materials Project and CuKα.
Kinematic intensities with the Lorentz-polarization factor, no thermal factor.

Crystal structure
```
data_CaFeF5
_chemical_formula_sum 'Ca4 Fe4 F20'
_cell_length_a 5.5866
_cell_length_b 10.2425
_cell_length_c 7.7287
_cell_angle_alpha 90.00
_cell_angle_beta 109.95
_cell_angle_gamma 90.00
_space_group_name_H-M_alt 'P 1 21/c 1'
_space_group_IT_number 14
loop_
_space_group_symop_operation_xyz
'x,y,z'
'-x,-y,-z'
'-x,y+1/2,-z+1/2'
'x,-y+1/2,z+1/2'
loop_
_atom_site_label
_atom_site_type_symbol
_atom_site_fract_x
_atom_site_fract_y
_atom_site_fract_z
_atom_site_occupancy
Ca1 Ca 0.0292 0.0194 0.2546 1
Fe1 Fe 0.3944 0.2465 0.5999 1
F1 F 0.1125 0.1175 0.5565 1
F2 F 0.1435 0.1122 0.0051 1
F3 F 0.3290 0.6367 0.3594 1
F4 F 0.3454 0.2029 0.3367 1
F5 F 0.3786 0.6043 0.8110 1
```

Top 6 peaks for 2θ = 10–80°, in order of rising 2θ:
2θ = 18.99°, I 491, (1 1 0); 2θ = 24.28°, I 1000, (1 2 0); 2θ = 26.06°, I 874, (0 1 2); 2θ = 30.19°, I 275, (0 2 2); 2θ = 43.48°, I 350, (2 3 0); 2θ = 47.03°, I 242, (1 0 -4)



Diffraction record for V2Pb2Se2O11. The powder diffractogram is calculated, not measured: it uses the PBE+U geometry in the Materials Project and CuKα.
Kinematic intensities with the Lorentz-polarization factor, no thermal factor.

Crystal structure
```
data_V2Pb2Se2O11
_chemical_formula_sum 'V4 Pb4 Se4 O22'
_cell_length_a 6.9944
_cell_length_b 7.3109
_cell_length_c 10.0645
_cell_angle_alpha 96.42
_cell_angle_beta 93.91
_cell_angle_gamma 95.41
_space_group_name_H-M_alt 'P -1'
_space_group_IT_number 2
loop_
_space_group_symop_operation_xyz
'x,y,z'
'-x,-y,-z'
loop_
_atom_site_label
_atom_site_type_symbol
_atom_site_fract_x
_atom_site_fract_y
_atom_site_fract_z
_atom_site_occupancy
V1 V 0.1549 0.1611 0.4491 1
V2 V 0.1641 0.0575 0.7527 1
Pb1 Pb 0.3213 0.8538 0.1069 1
Pb2 Pb 0.3641 0.5477 0.7503 1
Se1 Se 0.1587 0.5968 0.3992 1
Se2 Se 0.1684 0.3386 0.0459 1
O1 O 0.0367 0.3701 0.3740 1
O2 O 0.0494 0.1802 0.9105 1
O3 O 0.0541 0.2996 0.6306 1
O4 O 0.1329 0.0245 0.2914 1
O5 O 0.1632 0.9758 0.5675 1
O6 O 0.2333 0.5292 0.9616 1
O7 O 0.2396 0.8767 0.8237 1
O8 O 0.2682 0.6046 0.2533 1
O9 O 0.3667 0.2165 0.7740 1
O10 O 0.3769 0.2659 0.4694 1
O11 O 0.3828 0.2485 0.0771 1
```

Top 6 peaks for 2θ = 10–80°, in order of rising 2θ:
2θ = 18.79°, I 214, (1 -1 1); 2θ = 27.56°, I 359, (1 1 2); 2θ = 28.73°, I 1000, (0 2 -2); 2θ = 28.85°, I 498, (1 0 -3); 2θ = 28.98°, I 351, (2 -1 1); 2θ = 29.97°, I 241, (2 1 -1)



Diffraction record for MgV2Cu2O12. The powder diffractogram is calculated, not measured: it uses the PBE+U geometry in the Materials Project and CuKα.
Kinematic intensities with the Lorentz-polarization factor, no thermal factor.

Crystal structure
```
data_MgV2Cu2O12
_chemical_formula_sum 'Mg2 V4 Cu4 O24'
_cell_length_a 11.9869
_cell_length_b 5.5362
_cell_length_c 7.5096
_cell_angle_alpha 90.00
_cell_angle_beta 108.28
_cell_angle_gamma 90.00
_space_group_name_H-M_alt 'C 1 2/m 1'
_space_group_IT_number 12
loop_
_space_group_symop_operation_xyz
'x,y,z'
'-x,-y,-z'
'-x,y,-z'
'x,-y,z'
'x+1/2,y+1/2,z'
'-x+1/2,-y+1/2,-z'
'-x+1/2,y+1/2,-z'
'x+1/2,-y+1/2,z'
loop_
_atom_site_label
_atom_site_type_symbol
_atom_site_fract_x
_atom_site_fract_y
_atom_site_fract_z
_atom_site_occupancy
Mg1 Mg 0.0000 0.0000 0.0000 1
V1 V 0.0019 0.5000 0.7383 1
Cu1 Cu 0.2500 0.2500 0.0000 1
O1 O 0.0000 0.5000 0.0000 1
O2 O 0.0000 0.5000 0.5000 1
O3 O 0.0722 0.2403 0.2405 1
O4 O 0.1471 0.0000 0.9067 1
O5 O 0.1558 0.0000 0.5617 1
O6 O 0.1692 0.5000 0.8445 1
```

Top 6 peaks for 2θ = 10–80°, in order of rising 2θ:
2θ = 12.41°, I 1000, (0 0 1); 2θ = 16.61°, I 257, (2 0 -1); 2θ = 24.97°, I 428, (2 0 -2); 2θ = 29.94°, I 249, (4 0 -1); 2θ = 36.09°, I 306, (2 2 0); 2θ = 39.97°, I 223, (2 2 1)



Diffraction record for Li3Mo3P4O16. The powder diffractogram is calculated, not measured: it uses the PBE+U geometry in the Materials Project and CuKα.
Kinematic intensities with the Lorentz-polarization factor, no thermal factor.

Crystal structure
```
data_Li3Mo3P4O16
_chemical_formula_sum 'Li6 Mo6 P8 O32'
_cell_length_a 8.7382
_cell_length_b 5.1042
_cell_length_c 15.6075
_cell_angle_alpha 90.00
_cell_angle_beta 118.56
_cell_angle_gamma 90.00
_space_group_name_H-M_alt 'P 1 21/c 1'
_space_group_IT_number 14
loop_
_space_group_symop_operation_xyz
'x,y,z'
'-x,-y,-z'
'-x,y+1/2,-z+1/2'
'x,-y+1/2,z+1/2'
loop_
_atom_site_label
_atom_site_type_symbol
_atom_site_fract_x
_atom_site_fract_y
_atom_site_fract_z
_atom_site_occupancy
Li1 Li 0.0000 0.0000 0.0000 1
Li2 Li 0.2625 0.0524 0.6125 1
Mo1 Mo 0.2192 0.5247 0.7181 1
Mo2 Mo 0.5000 0.0000 0.5000 1
P1 P 0.0651 0.5012 0.8869 1
P2 P 0.4696 0.0040 0.8512 1
O1 O 0.0270 0.7455 0.6050 1
O2 O 0.0555 0.2296 0.6144 1
O3 O 0.0838 0.5089 0.7954 1
O4 O 0.2419 0.5134 0.9829 1
O5 O 0.3382 0.0325 0.1270 1
O6 O 0.3466 0.5983 0.2466 1
O7 O 0.4273 0.1945 0.3556 1
O8 O 0.4334 0.6533 0.4223 1
```

Top 6 peaks for 2θ = 10–80°, in order of rising 2θ:
2θ = 20.17°, I 827, (1 1 -1); 2θ = 20.41°, I 802, (2 0 -2); 2θ = 23.50°, I 659, (1 1 1); 2θ = 26.18°, I 641, (0 1 3); 2θ = 32.31°, I 1000, (1 1 3); 2θ = 35.61°, I 594, (3 1 -3)



Diffraction record for Li4Fe3Ni2Sn3O16. The powder diffractogram is calculated, not measured: it uses the PBE+U geometry in the Materials Project and CuKα.
Kinematic intensities with the Lorentz-polarization factor, no thermal factor.

Crystal structure
```
data_Li4Fe3Ni2Sn3O16
_chemical_formula_sum 'Li8 Fe6 Ni4 Sn6 O32'
_cell_length_a 10.5310
_cell_length_b 6.0949
_cell_length_c 9.7518
_cell_angle_alpha 90.00
_cell_angle_beta 91.12
_cell_angle_gamma 90.00
_space_group_name_H-M_alt 'C 1 m 1'
_space_group_IT_number 8
loop_
_space_group_symop_operation_xyz
'x,y,z'
'x,-y,z'
'x+1/2,y+1/2,z'
'x+1/2,-y+1/2,z'
loop_
_atom_site_label
_atom_site_type_symbol
_atom_site_fract_x
_atom_site_fract_y
_atom_site_fract_z
_atom_site_occupancy
Li1 Li 0.0000 0.0000 0.0000 1
Li2 Li 0.0027 0.0000 0.4940 1
Li3 Li 0.1908 0.5000 0.1106 1
Li4 Li 0.3566 0.0000 0.6008 1
Fe1 Fe 0.3488 0.5000 0.7777 1
Fe2 Fe 0.4335 0.2457 0.2803 1
Ni1 Ni 0.1829 0.5000 0.5027 1
Ni2 Ni 0.3493 0.0000 0.0075 1
Sn1 Sn 0.1027 0.2534 0.7817 1
Sn2 Sn 0.1869 0.0000 0.2833 1
O1 O 0.9996 0.5000 0.1648 1
O2 O 0.0136 0.0000 0.1816 1
O3 O 0.0168 0.0000 0.6760 1
O4 O 0.0361 0.5000 0.6534 1
O5 O 0.0900 0.2412 0.3953 1
O6 O 0.1744 0.0000 0.9036 1
O7 O 0.1880 0.5000 0.8995 1
O8 O 0.2662 0.2824 0.6603 1
O9 O 0.2839 0.2256 0.1595 1
O10 O 0.3526 0.5000 0.3826 1
O11 O 0.3557 0.0000 0.3953 1
O12 O 0.4302 0.2658 0.8894 1
```

Top 6 peaks for 2θ = 10–80°, in order of rising 2θ:
2θ = 18.20°, I 1000, (0 0 2); 2θ = 19.04°, I 422, (1 1 -1); 2θ = 19.21°, I 386, (1 1 1); 2θ = 35.15°, I 502, (4 0 -1); 2θ = 35.34°, I 322, (2 2 1); 2θ = 60.92°, I 308, (6 2 0)



Diffraction record for CaLaMnNbO6. The powder diffractogram is calculated, not measured: it uses the PBE+U geometry in the Materials Project and CuKα.
Kinematic intensities with the Lorentz-polarization factor, no thermal factor.

Crystal structure
```
data_CaLaMnNbO6
_chemical_formula_sum 'Ca2 La2 Mn2 Nb2 O12'
_cell_length_a 5.6345
_cell_length_b 5.8246
_cell_length_c 9.8307
_cell_angle_alpha 90.00
_cell_angle_beta 124.82
_cell_angle_gamma 90.00
_space_group_name_H-M_alt 'P 1 c 1'
_space_group_IT_number 7
loop_
_space_group_symop_operation_xyz
'x,y,z'
'x,-y,z+1/2'
loop_
_atom_site_label
_atom_site_type_symbol
_atom_site_fract_x
_atom_site_fract_y
_atom_site_fract_z
_atom_site_occupancy
Ca1 Ca 0.0000 0.1974 0.0000 1
La1 La 0.4716 0.3013 0.4954 1
Mn1 Mn 0.2350 0.2475 0.7484 1
Nb1 Nb 0.7338 0.2471 0.2465 1
O1 O 0.0767 0.0584 0.2984 1
O2 O 0.3947 0.4374 0.1980 1
O3 O 0.4922 0.0399 0.6915 1
O4 O 0.6015 0.2870 0.0091 1
O5 O 0.8742 0.2085 0.4875 1
O6 O 0.9786 0.4642 0.8063 1
```

Top 6 peaks for 2θ = 10–80°, in order of rising 2θ:
2θ = 18.79°, I 207, (0 1 1); 2θ = 19.21°, I 212, (1 0 -2); 2θ = 30.70°, I 227, (0 2 0); 2θ = 31.29°, I 1000, (1 1 1); 2θ = 31.76°, I 233, (2 0 -2); 2θ = 44.76°, I 247, (2 2 -2)